Structure and calculated X-ray powder pattern of Mn3OF5 (a GGA+U-relaxed structure; copper Kα).
No peak broadening, texture or thermal motion is included.

Peak list (6 most intense, 2θ = 15–90°, by intensity)
d 3.515, intensity 1000
d 3.336, intensity 863
d 2.686, intensity 506
d 2.735, intensity 474
d 1.758, intensity 471
d 1.824, intensity 372

Crystal structure
Cell lengths 9.472, 7.029, 7.354 Å; angles 90.00, 109.91, 90.00 degrees
Space group C2/m (No. 12)
Unique sites:
Mn 0.000 0.000 0.000 x2
Mn 0.000 0.000 0.500 x2
Mn 0.163 0.500 0.167 x4
Mn 0.188 0.500 0.653 x4
O 0.082 0.000 0.286 x4
F 0.000 0.298 0.000 x4
F 0.046 0.500 0.358 x4
F 0.171 0.192 0.652 x8
F 0.228 0.000 0.036 x4

---

Structure and calculated X-ray powder pattern of Sr2CaWO6 (a GGA+U-relaxed structure; copper Kα).
No peak broadening, texture or thermal motion is included.

Peak list (6 most intense, 2θ = 15–90°, by intensity)
d 2.965, intensity 1000
d 2.099, intensity 320
d 1.708, intensity 301
d 4.859, intensity 292
d 4.828, intensity 258
d 2.954, intensity 251

Crystal structure
Cell lengths 5.908, 8.375, 5.966 Å; angles 90.00, 90.00, 90.00 degrees
Space group Pmm2 (No. 25)
Unique sites:
Sr 0.000 0.245 0.000 x2
Sr 0.500 0.252 0.526 x2
Ca 0.000 0.000 0.519 x1
Ca 0.500 0.500 0.044 x1
W 0.000 0.500 0.548 x1
W 0.500 0.000 0.025 x1
O 0.000 0.267 0.558 x2
O 0.223 0.500 0.793 x2
O 0.245 0.500 0.334 x2
O 0.264 0.000 0.253 x2
O 0.269 0.000 0.790 x2
O 0.500 0.232 0.032 x2

---

Structure and calculated X-ray powder pattern of Ni3H6SO3 (a GGA+U-relaxed structure; copper Kα).
No peak broadening, texture or thermal motion is included.

Peak list (6 most intense, 2θ = 15–90°, by intensity)
d 5.651, intensity 1000
d 4.414, intensity 927
d 4.730, intensity 871
d 3.075, intensity 711
d 4.444, intensity 585
d 3.451, intensity 538

Crystal structure
Cell lengths 5.047, 6.098, 7.521 Å; angles 91.00, 104.11, 111.07 degrees
Space group P1 (No. 1)
Unique sites:
Ni 0.000 0.000 0.000 x1
Ni 0.078 0.535 0.833 x1
Ni 0.498 0.980 0.284 x1
H 0.219 0.058 0.207 x1
H 0.291 0.252 0.616 x1
H 0.391 0.899 0.581 x1
H 0.421 0.269 0.696 x1
H 0.782 0.131 0.702 x1
H 0.846 0.542 0.677 x1
S 0.543 0.806 0.030 x1
O 0.279 0.852 0.862 x1
O 0.562 0.950 0.531 x1
O 0.923 0.223 0.824 x1